# 1
Calculated PXRD pattern
Compound: CaNdMn2O6
Radiation: copper Kα
Structure: a PBE+U-relaxed structure
Peak positions follow from Bragg's law for the DFT cell and can differ from measured ones.

The 8 most intense peaks (2θ = 10–90°), sorted by position:
2θ 11.51, rel. 14; 2θ 25.75, rel. 15; 2θ 32.55, rel. 19; 2θ 32.83, rel. 100; 2θ 46.91, rel. 25; 2θ 47.30, rel. 13; 2θ 58.61, rel. 22; 2θ 68.83, rel. 12

Structure:
```
CaNdMn2O6
1.0
5.456 0.000 0.000
0.003 5.502 0.000
0.002 0.016 23.060
Ca Nd Mn O
6 6 12 36
Cartesian
0.000 0.000 0.000
0.001 0.009 7.610
2.734 3.201 3.744
2.850 2.758 0.021
2.852 2.766 15.366
5.450 0.015 15.358
0.104 0.454 19.204
0.111 0.443 11.520
0.109 0.443 3.775
2.741 3.196 11.531
2.748 3.204 19.209
2.850 2.763 7.596
0.054 2.985 13.487
0.058 2.989 21.178
0.059 2.985 9.544
0.057 2.981 1.860
0.057 2.992 17.227
0.069 2.989 5.700
2.786 0.217 5.707
2.789 0.226 9.542
2.791 0.239 17.224
2.792 0.240 21.173
2.792 0.222 1.860
2.792 0.235 13.487
0.498 3.089 7.633
0.520 3.116 23.041
0.524 3.120 15.355
1.239 4.537 2.215
1.240 4.539 5.395
1.263 4.525 13.067
1.270 4.517 9.939
1.267 4.526 20.762
1.269 4.529 17.634
1.580 1.772 20.758
1.580 1.769 13.066
1.589 1.764 2.247
1.589 1.775 17.635
1.596 1.782 9.917
1.615 1.796 5.382
2.323 0.369 15.359
2.336 0.374 23.040
2.340 0.333 7.631
3.199 0.159 19.197
3.207 0.154 11.504
3.212 0.120 3.795
3.942 4.147 13.724
3.943 4.153 21.410
3.947 4.159 16.969
3.951 4.148 9.264
3.963 4.164 1.567
3.981 4.175 6.053
4.324 1.426 9.233
4.336 1.423 6.061
4.358 1.398 13.721
4.357 1.405 16.969
4.359 1.405 21.406
4.365 1.387 1.588
5.072 2.876 3.801
5.102 2.900 11.499
5.109 2.914 19.198
```



# 2
Calculated PXRD pattern
Compound: Rb2CoHgF6
Radiation: copper Kα
Structure: a PBE+U-relaxed structure
Peak positions follow from Bragg's law for the DFT cell and can differ from measured ones.

The 8 most intense peaks (2θ = 10–90°), sorted by position:
2θ 17.49, rel. 20; 2θ 28.75, rel. 100; 2θ 33.85, rel. 17; 2θ 41.11, rel. 36; 2θ 50.93, rel. 41; 2θ 59.54, rel. 22; 2θ 67.43, rel. 19; 2θ 82.11, rel. 22

Structure:
```
Rb2CoHgF6
1.0
0.000 4.392 4.392
4.392 0.000 4.392
4.392 4.392 0.000
Rb Co Hg F
2 1 1 6
Cartesian
2.196 2.196 2.196
6.588 6.588 6.588
0.000 0.000 0.000
4.392 4.392 4.392
4.392 4.392 2.049
4.392 2.049 4.392
6.735 4.392 4.392
2.049 4.392 4.392
4.392 6.735 4.392
4.392 4.392 6.735
```



# 3
Calculated PXRD pattern
Compound: CaEuMn4O12
Radiation: copper Kα
Structure: a PBE+U-relaxed structure
Peak positions follow from Bragg's law for the DFT cell and can differ from measured ones.

The 8 most intense peaks (2θ = 10–90°), sorted by position:
2θ 11.01, rel. 17; 2θ 19.20, rel. 70; 2θ 31.60, rel. 100; 2θ 37.28, rel. 26; 2θ 45.14, rel. 18; 2θ 45.37, rel. 35; 2θ 56.32, rel. 25; 2θ 65.93, rel. 19

Structure:
```
CaEuMn4O12
1.0
5.654 0.000 0.000
0.000 5.654 0.000
0.000 0.000 8.034
Ca Eu Mn O
1 1 4 12
Cartesian
0.000 0.000 0.000
2.827 2.827 4.017
0.000 2.827 1.996
0.000 2.827 6.038
2.827 0.000 1.996
2.827 0.000 6.038
0.000 2.827 0.000
0.000 2.827 4.017
1.418 1.418 2.014
1.418 1.418 6.020
1.418 4.236 2.014
1.418 4.236 6.020
2.827 0.000 0.000
2.827 0.000 4.017
4.236 1.418 2.014
4.236 1.418 6.020
4.236 4.236 2.014
4.236 4.236 6.020
```



# 4
Calculated PXRD pattern
Compound: LiFeBO3
Radiation: copper Kα
Structure: a PBE+U-relaxed structure
Peak positions follow from Bragg's law for the DFT cell and can differ from measured ones.

The 8 most intense peaks (2θ = 10–90°), sorted by position:
2θ 21.28, rel. 100; 2θ 28.56, rel. 43; 2θ 31.17, rel. 20; 2θ 35.89, rel. 73; 2θ 37.31, rel. 40; 2θ 43.35, rel. 27; 2θ 47.65, rel. 25; 2θ 52.74, rel. 36

Structure:
```
LiFeBO3
1.0
8.352 0.000 0.000
0.000 3.126 0.000
-8.338 0.000 14.454
Li Fe B O
6 6 6 18
Cartesian
0.000 3.126 0.000
-4.169 0.000 7.227
-0.433 3.125 4.715
-4.602 0.001 11.942
4.048 0.000 1.978
-0.120 3.126 9.205
1.227 1.563 2.424
-2.941 1.563 9.651
1.366 1.563 6.934
-2.803 1.562 14.161
5.208 1.563 4.561
1.039 1.563 11.788
-1.570 1.562 7.048
-5.739 1.564 14.275
2.599 3.125 4.637
-1.570 0.000 11.864
6.777 1.563 2.231
2.609 1.562 9.458
-0.473 1.564 1.394
-4.641 1.562 8.621
-1.401 1.563 3.604
-5.570 1.563 10.831
-2.853 1.564 6.509
-7.022 1.562 13.736
-0.462 1.556 6.204
-4.631 1.569 13.432
2.774 1.562 1.202
-1.395 1.563 8.429
1.442 3.126 3.860
-2.727 0.000 11.087
2.502 3.125 6.028
-1.666 0.000 13.255
3.853 0.000 4.024
-0.316 3.126 11.251
5.502 1.563 1.694
1.333 1.563 8.922
```



# 5
Calculated PXRD pattern
Compound: BaCo2P2O8
Radiation: copper Kα
Structure: a PBE+U-relaxed structure
Peak positions follow from Bragg's law for the DFT cell and can differ from measured ones.

The 8 most intense peaks (2θ = 10–90°), sorted by position:
2θ 21.49, rel. 27; 2θ 22.28, rel. 72; 2θ 22.55, rel. 36; 2θ 22.93, rel. 74; 2θ 29.26, rel. 100; 2θ 33.85, rel. 51; 2θ 35.56, rel. 25; 2θ 49.02, rel. 27

Structure:
```
BaCo2P2O8
1.0
8.258 0.000 0.000
0.000 5.050 0.000
-0.389 0.000 9.329
Ba Co P O
2 4 4 16
Cartesian
0.000 0.000 0.000
-0.194 2.525 4.664
2.617 0.340 6.597
2.811 2.185 1.933
5.058 2.865 7.396
5.252 4.710 2.732
1.853 2.548 8.061
2.047 5.027 3.397
5.822 0.023 5.932
6.016 2.502 1.268
1.078 0.750 2.478
0.884 1.775 7.143
1.647 0.282 4.869
1.842 2.243 0.204
2.005 3.495 3.215
1.811 4.080 7.879
3.472 0.567 3.043
3.278 1.958 7.707
4.591 3.091 1.622
4.397 4.483 6.286
6.058 0.970 1.450
5.864 1.555 6.114
6.027 2.807 9.125
6.221 4.768 4.460
6.985 3.275 2.186
6.791 4.300 6.851
```